# Al7Tl3S12
Computed powder diffraction line list, copper Kα. Input: a cell relaxed with GGA-PBE.
Kinematic intensities with the Lorentz-polarization factor, no thermal factor.

Top 10 peaks for 10 to 80 degrees two-theta, in order of rising 2θ:
| 2θ/deg | intensity |
| --- | --- |
| 11.53 | 56 |
| 16.79 | 40 |
| 20.59 | 100 |
| 23.19 | 60 |
| 26.46 | 59 |
| 28.15 | 36 |
| 28.30 | 40 |
| 28.82 | 30 |
| 29.10 | 59 |
| 40.36 | 26 |

Structure:
```
Al7Tl3S12
1.0
9.2152 0.0000 0.0000
0.0000 12.6130 0.0000
-1.0030 0.0000 9.6661
Al Tl S
14 6 24
Direct
0.0202 0.0000 0.4788 Al
0.1278 0.7486 0.3583 Al
0.1706 0.4052 0.8238 Al
0.1969 0.1068 0.8207 Al
0.2086 0.9980 0.1908 Al
0.4706 0.5183 0.0284 Al
0.4783 0.7713 0.1978 Al
0.5217 0.2713 0.8022 Al
0.5294 0.0183 0.9716 Al
0.7914 0.4980 0.8092 Al
0.8031 0.6068 0.1793 Al
0.8294 0.9052 0.1762 Al
0.8722 0.2486 0.6417 Al
0.9798 0.5000 0.5212 Al
0.1233 0.7524 0.8321 Tl
0.3704 0.2623 0.2270 Tl
0.4686 0.4875 0.4796 Tl
0.5314 0.9875 0.5204 Tl
0.6296 0.7623 0.7730 Tl
0.8767 0.2524 0.1679 Tl
0.0241 0.5808 0.3128 S
0.0285 0.8265 0.5316 S
0.0678 0.8469 0.1565 S
0.1430 0.1290 0.0410 S
0.1753 0.5404 0.6742 S
0.2250 0.0658 0.4040 S
0.2542 0.4402 0.0438 S
0.2773 0.2614 0.7270 S
0.3611 0.9791 0.7935 S
0.3721 0.7271 0.3875 S
0.4305 0.6934 0.9913 S
0.4475 0.9525 0.1728 S
0.5525 0.4525 0.8272 S
0.5695 0.1934 0.0087 S
0.6279 0.2271 0.6125 S
0.6389 0.4791 0.2065 S
0.7227 0.7614 0.2730 S
0.7458 0.9402 0.9562 S
0.7750 0.5658 0.5960 S
0.8247 0.0404 0.3258 S
0.8570 0.6290 0.9590 S
0.9322 0.3469 0.8435 S
0.9715 0.3265 0.4684 S
0.9759 0.0808 0.6872 S
```